1.
Pu4CuGe3: simulated powder diffraction line list (Cu Kα (λ = 1.5418 Å)), based on a crystal structure in Alexandria, relaxed with PBE.

Structure:
```
8
Lattice="3.971 0.000 0.000 0.000 4.206 0.000 0.000 0.000 9.268" Properties=species:S:1:pos:R:3 pbc="T T T"
Pu 0.000 0.000 0.000
Pu 0.000 2.103 2.930
Pu 1.985 0.000 7.633
Pu 1.985 2.103 4.631
Cu 0.000 0.000 5.265
Ge 0.000 2.103 6.902
Ge 1.985 0.000 2.503
Ge 1.985 2.103 0.563
```

Top 6 peaks for 10° ≤ 2θ ≤ 90°, low angle first:
2θ/deg, Rel. int.
23.23, 48
36.67, 100
36.87, 29
43.01, 19
45.70, 16
57.91, 16

=====

2.
Tl2Zn3SbF12: simulated powder diffraction line list (Cu Kα (λ = 1.5418 Å)), based on a crystal structure in Alexandria, relaxed with PBE.

Structure:
```
18
Lattice="3.707 2.140 6.624 -3.707 2.140 6.624 0.000 -4.281 6.624" Properties=species:S:1:pos:R:3 pbc="T T T"
Tl 0.000 0.000 1.772
Tl 0.000 0.000 18.101
Zn -1.854 -1.070 6.624
Zn -1.854 1.070 13.249
Zn 0.000 2.140 6.624
Sb 0.000 0.000 9.936
F -1.470 -0.849 8.777
F 0.000 -1.734 6.233
F -1.502 0.867 6.233
F -1.502 -0.867 13.640
F 0.000 -1.697 11.096
F -1.470 0.849 11.096
F 1.470 -0.849 8.777
F 0.000 1.697 8.777
F 1.502 0.867 6.233
F 1.502 -0.867 13.640
F 0.000 1.734 13.640
F 1.470 0.849 11.096
```

Top 6 peaks for 10° ≤ 2θ ≤ 90°, low angle first:
2θ/deg, Rel. int.
16.44, 49
24.01, 60
26.37, 100
28.16, 51
29.23, 60
49.15, 41

=====

3.
ErSi2Ni2Rh: simulated powder diffraction line list (Cu Kα (λ = 1.5418 Å)), based on a crystal structure in Alexandria, relaxed with PBE.

Structure:
```
6
Lattice="4.466 0.000 0.000 0.000 4.466 0.000 0.000 0.000 5.233" Properties=species:S:1:pos:R:3 pbc="T T T"
Er 0.000 0.000 0.000
Si 0.000 2.233 2.617
Si 2.233 0.000 2.617
Ni 2.233 2.233 1.330
Ni 2.233 2.233 3.903
Rh 0.000 0.000 2.617
```

Top 6 peaks for 10° ≤ 2θ ≤ 90°, low angle first:
2θ/deg, Rel. int.
19.88, 36
28.26, 93
39.93, 100
40.39, 63
58.10, 65
58.45, 21

=====

4.
Ce4PaAs6: simulated powder diffraction line list (Cu Kα (λ = 1.5418 Å)), based on a crystal structure in Alexandria, relaxed with PBE.

Structure:
```
22
Lattice="5.815 3.357 4.841 -5.815 3.357 4.841 0.000 -6.714 4.841" Properties=species:S:1:pos:R:3 pbc="T T T"
Ce -3.597 0.484 6.051
Ce 0.000 0.000 3.631
Ce -2.218 -2.873 8.472
Ce 1.380 -3.357 6.051
Ce -1.380 3.357 8.472
Ce 2.218 2.873 6.051
Ce 0.000 0.000 10.892
Ce 3.597 -0.484 8.472
Pa 0.000 0.000 0.000
Pa 0.000 0.000 7.261
As -4.932 -1.259 8.042
As -1.376 -4.901 6.481
As -1.376 -1.813 5.621
As -3.557 3.642 6.481
As -0.882 2.098 5.621
As -2.258 0.285 8.901
As 2.258 -0.285 5.621
As 0.882 -2.098 8.901
As 3.557 -3.642 8.042
As 1.376 1.813 8.901
As 1.376 4.901 8.042
As 4.932 1.259 6.481
```

Top 6 peaks for 10° ≤ 2θ ≤ 90°, low angle first:
2θ/deg, Rel. int.
26.55, 89
30.35, 71
32.65, 63
34.13, 100
36.04, 75
46.59, 50

=====

5.
ThGa2Rh6: simulated powder diffraction line list (Cu Kα (λ = 1.5418 Å)), based on a crystal structure in Alexandria, relaxed with PBE.

Structure:
```
18
Lattice="0.000 5.544 5.544 5.544 0.000 5.544 5.544 5.544 0.000" Properties=species:S:1:pos:R:3 pbc="T T T"
Th 1.386 1.386 1.386
Th 9.702 9.702 9.702
Ga 5.544 2.772 2.772
Ga 2.772 5.544 2.772
Ga 2.772 2.772 5.544
Ga 5.544 5.544 5.544
Rh 4.158 4.158 1.262
Rh 4.158 1.262 4.158
Rh 7.054 4.158 4.158
Rh 6.930 6.930 4.034
Rh 6.930 4.034 6.930
Rh 9.827 6.930 6.930
Rh 1.262 4.158 4.158
Rh 4.158 7.054 4.158
Rh 4.158 4.158 7.054
Rh 4.034 6.930 6.930
Rh 6.930 9.827 6.930
Rh 6.930 6.930 9.827
```

Top 6 peaks for 10° ≤ 2θ ≤ 90°, low angle first:
2θ/deg, Rel. int.
26.66, 44
32.29, 69
42.36, 26
46.32, 100
76.90, 21
85.88, 31

=====

6.
AlZnGe: simulated powder diffraction line list (Cu Kα (λ = 1.5418 Å)), based on a crystal structure in Alexandria, relaxed with PBE.

Structure:
```
3
Lattice="4.720 0.000 0.000 -2.360 4.087 0.000 0.000 0.000 2.732" Properties=species:S:1:pos:R:3 pbc="T T T"
Al 0.000 0.000 0.000
Zn 2.360 1.362 1.245
Ge 0.000 2.725 1.186
```

Top 6 peaks for 10° ≤ 2θ ≤ 90°, low angle first:
2θ/deg, Rel. int.
21.74, 29
32.78, 25
38.13, 100
39.69, 58
51.15, 41
69.96, 21

=====

7.
Tb4Ho3Au4: simulated powder diffraction line list (Cu Kα (λ = 1.5418 Å)), based on a crystal structure in Alexandria, relaxed with PBE.

Structure:
```
11
Lattice="-1.882 4.555 8.530 1.882 -4.555 8.530 1.882 4.555 -8.530" Properties=species:S:1:pos:R:3 pbc="T T T"
Tb 1.882 -2.853 5.767
Tb 0.000 1.702 2.763
Tb 1.882 2.853 5.767
Tb 0.000 7.408 2.763
Ho 1.882 0.000 0.000
Ho 0.000 0.000 6.792
Ho 0.000 0.000 10.268
Au 1.882 0.000 4.353
Au 0.000 2.878 0.000
Au 0.000 6.231 0.000
Au 0.000 4.555 4.177
```

Top 6 peaks for 10° ≤ 2θ ≤ 90°, low angle first:
2θ/deg, Rel. int.
31.27, 76
33.24, 100
33.45, 62
37.28, 40
39.57, 54
60.49, 33

=====

8.
CsSrLiBr4: simulated powder diffraction line list (Cu Kα (λ = 1.5418 Å)), based on a crystal structure in Alexandria, relaxed with PBE.

Structure:
```
14
Lattice="7.272 0.000 0.000 0.000 7.534 0.000 -3.275 0.000 9.323" Properties=species:S:1:pos:R:3 pbc="T T T"
Cs 0.300 1.884 4.095
Cs 3.697 5.651 5.228
Sr -1.086 1.884 8.849
Sr 5.083 5.651 0.474
Li 1.417 5.651 1.629
Li 2.580 1.884 7.694
Br -2.654 5.651 8.616
Br -0.563 5.651 3.145
Br 0.948 3.782 7.393
Br 0.948 7.520 7.393
Br 3.049 0.014 1.930
Br 3.049 3.753 1.930
Br 4.560 1.884 6.178
Br 6.651 1.884 0.707
```

Top 6 peaks for 10° ≤ 2θ ≤ 90°, low angle first:
2θ/deg, Rel. int.
17.48, 42
26.44, 43
26.68, 46
27.00, 66
29.02, 51
30.55, 100